The following is a calculated powder XRD pattern of Zn6WO6. It was derived from a PBE+U-relaxed structure, using copper Kα.
Peak positions follow from Bragg's law for the DFT cell and can differ from measured ones.

Crystal structure
```
data_Zn6WO6
_space_group_name_H-M_alt 'P 1'
_space_group_IT_number 1
_space_group_name_Hall 'P 1'
_cell_length_a 5.7413
_cell_length_b 5.7413
_cell_length_c 5.7413
_cell_angle_alpha 90.00
_cell_angle_beta 90.00
_cell_angle_gamma 90.00
loop_
_atom_site_label
_atom_site_type_symbol
_atom_site_fract_x
_atom_site_fract_y
_atom_site_fract_z
_atom_site_occupancy
Zn1 Zn 0.0000 0.2488 0.5000 1
Zn2 Zn 0.0000 0.7512 0.5000 1
Zn3 Zn 0.2488 0.5000 0.0000 1
Zn4 Zn 0.5000 0.0000 0.2488 1
Zn5 Zn 0.5000 0.0000 0.7512 1
Zn6 Zn 0.7512 0.5000 0.0000 1
W1 W 0.0000 0.0000 0.0000 1
O1 O 0.0000 0.5000 0.2530 1
O2 O 0.0000 0.5000 0.7470 1
O3 O 0.2530 0.0000 0.5000 1
O4 O 0.5000 0.2530 0.0000 1
O5 O 0.5000 0.7470 0.0000 1
O6 O 0.7470 0.0000 0.5000 1
```

Principal peaks in the range 5 to 70 degrees two-theta, in order of falling intensity:
2θ 38.40, d = 2.344 Å, intensity 100, hkl 2 1 1
2θ 34.95, d = 2.568 Å, intensity 83, hkl 2 1 0
2θ 15.43, d = 5.741 Å, intensity 60, hkl 1 0 0
2θ 60.32, d = 1.534 Å, intensity 51, hkl 3 1 2
2θ 31.16, d = 2.871 Å, intensity 44, hkl 2 0 0
2θ 26.90, d = 3.315 Å, intensity 22, hkl 1 1 1
2θ 57.91, d = 1.592 Å, intensity 20, hkl 3 0 2
2θ 64.97, d = 1.435 Å, intensity 19, hkl 4 0 0
2θ 47.51, d = 1.914 Å, intensity 18, hkl 2 2 1
2θ 52.89, d = 1.731 Å, intensity 10, hkl 3 1 1
2θ 67.23, d = 1.392 Å, intensity 10, hkl 4 1 0
2θ 55.44, d = 1.657 Å, intensity 9, hkl 2 2 2